Theoretical XRD peak list
Compound: UMo4PbO16
Radiation: a wavelength of 1.5418 Å
Structure: a crystal structure in Alexandria, relaxed with PBE+U

Structure:
Cell lengths 8.730, 6.839, 14.546 Å; angles 90.00, 126.50, 90.00 degrees
Fractional positions:
U  0.000  0.188  0.250
U  0.000  0.812  0.750
Mo  0.202  0.341  0.904
Mo  0.202  0.659  0.404
Mo  0.296  0.337  0.594
Mo  0.296  0.663  0.094
Mo  0.704  0.337  0.906
Mo  0.704  0.663  0.406
Mo  0.798  0.341  0.596
Mo  0.798  0.659  0.096
Pb  0.500  0.187  0.250
Pb  0.500  0.813  0.750
O  0.000  0.448  0.750
O  0.000  0.552  0.250
O  0.101  0.345  0.597
O  0.101  0.655  0.097
O  0.126  0.089  0.868
O  0.126  0.911  0.368
O  0.180  0.350  0.429
O  0.180  0.650  0.929
O  0.208  0.189  0.248
O  0.208  0.811  0.748
O  0.311  0.361  0.059
O  0.311  0.639  0.559
O  0.359  0.088  0.612
O  0.359  0.912  0.112
O  0.398  0.350  0.901
O  0.398  0.650  0.401
O  0.500  0.423  0.750
O  0.500  0.577  0.250
O  0.602  0.350  0.599
O  0.602  0.650  0.099
O  0.641  0.088  0.888
O  0.641  0.912  0.388
O  0.689  0.361  0.441
O  0.689  0.639  0.941
O  0.792  0.189  0.252
O  0.792  0.811  0.752
O  0.820  0.350  0.071
O  0.820  0.650  0.571
O  0.874  0.089  0.632
O  0.874  0.911  0.132
O  0.899  0.345  0.903
O  0.899  0.655  0.403

Peak list (12 most intense, 2θ = 15–90°, in order of rising 2θ)
2θ (°)	I_rel	index
15.2	209	0 0 2
20.0	207	0 1 2
20.3	1000	2 0 -2
25.3	267	2 1 -1
25.5	209	2 0 -4
26.1	191	0 2 0
26.3	928	0 1 3
27.2	385	0 2 1
33.4	295	2 1 1
33.6	210	2 1 -5
34.2	255	2 2 -3
47.6	196	2 3 0